For MnCu2GeS4, DFT lattice parameters and positions (GGA-PBE) gives the computed powder diffractogram in this record (Cu Kα (weighted mean of Kα1 and Kα2)).
No peak broadening, texture or thermal motion is included.

Top 8 peaks for 10 to 90 degrees two-theta, in order of falling intensity:
d [Å], 2θ (°), I_rel
2.907, 30.76, 100
3.284, 27.16, 86
3.124, 28.57, 84
1.759, 51.99, 72
1.885, 48.27, 66
3.257, 27.39, 48
2.888, 30.97, 44
1.614, 57.06, 42

Cell and atoms:
Unit cell a=7.605 b=6.513 c=6.249 alpha=90.00 beta=90.00 gamma=90.00
Fractional coordinates of all 16 atoms:
Mn 0.000 0.160 0.000
Mn 0.500 0.840 0.500
Cu 0.250 0.326 0.506
Cu 0.250 0.674 0.006
Cu 0.750 0.326 0.506
Cu 0.750 0.674 0.006
Ge 0.000 0.828 0.499
Ge 0.500 0.172 0.999
S 0.000 0.159 0.384
S 0.000 0.817 0.863
S 0.241 0.660 0.374
S 0.259 0.340 0.874
S 0.500 0.183 0.363
S 0.500 0.841 0.884
S 0.741 0.340 0.874
S 0.759 0.660 0.374

***

For AcEr4Bi5, DFT lattice parameters and positions (GGA-PBE) gives the computed powder diffractogram in this record (Cu Kα (weighted mean of Kα1 and Kα2)).
No peak broadening, texture or thermal motion is included.

Top 8 peaks for 10 to 90 degrees two-theta, in order of falling intensity:
d [Å], 2θ (°), I_rel
3.208, 27.81, 100
2.268, 39.74, 77
1.851, 49.21, 21
1.435, 64.97, 18
1.434, 65.06, 17
1.310, 72.08, 15
1.604, 57.46, 13
1.854, 49.15, 7

Cell and atoms:
Unit cell a=7.847 b=7.847 c=11.122 alpha=118.11 beta=118.11 gamma=33.61
Fractional coordinates of all 10 atoms:
Ac 0.000 0.000 0.000
Er 0.203 0.203 0.791
Er 0.406 0.406 0.604
Er 0.594 0.594 0.396
Er 0.797 0.797 0.209
Bi 0.000 0.000 0.500
Bi 0.206 0.206 0.316
Bi 0.389 0.389 0.107
Bi 0.611 0.611 0.893
Bi 0.794 0.794 0.684

***

For Sc2Cu2BRh4, DFT lattice parameters and positions (GGA-PBE) gives the computed powder diffractogram in this record (Cu Kα (weighted mean of Kα1 and Kα2)).
No peak broadening, texture or thermal motion is included.

Top 8 peaks for 10 to 90 degrees two-theta, in order of falling intensity:
d [Å], 2θ (°), I_rel
2.295, 39.26, 100
2.043, 44.34, 37
1.223, 78.18, 24
1.387, 67.54, 19
1.889, 48.18, 14
1.445, 64.50, 11
3.778, 23.55, 10
1.148, 84.42, 10

Cell and atoms:
Unit cell a=5.565 b=5.565 c=5.565 alpha=117.44 beta=117.44 gamma=94.49
Fractional coordinates of all 9 atoms:
Sc 0.250 0.750 0.500
Sc 0.750 0.250 0.500
Cu 0.231 0.231 0.000
Cu 0.769 0.769 0.000
B 0.500 0.500 0.000
Rh 0.247 0.247 0.493
Rh 0.247 0.753 0.000
Rh 0.753 0.247 0.000
Rh 0.753 0.753 0.507